Sc6AlTc: theoretical PXRD pattern (Cu Kα), based on a crystal structure in Alexandria, relaxed with GGA-PBE.

Cell and atoms:
```
Sc6AlTc
1.0
2.479 1.431 7.809
-2.479 1.431 7.809
0.000 -2.863 7.809
Sc Al Tc
6 1 1
Cartesian
0.000 0.000 2.529 Sc
0.000 0.000 5.449 Sc
0.000 0.000 8.552 Sc
0.000 0.000 14.874 Sc
0.000 0.000 17.977 Sc
0.000 0.000 20.898 Sc
0.000 0.000 11.713 Al
0.000 0.000 0.000 Tc
```

Main lines, low angle first (2θ from 10° to 80°):
- 11.3 deg, I = 21
- 21.0 deg, I = 23
- 34.5 deg, I = 11
- 36.2 deg, I = 100
- 37.2 deg, I = 62
- 50.9 deg, I = 21
- 52.9 deg, I = 21
- 65.2 deg, I = 16
- 65.8 deg, I = 21
- 76.9 deg, I = 9



Cd2InHg5: theoretical PXRD pattern (Cu Kα), based on a crystal structure in Alexandria, relaxed with GGA-PBE.

Cell and atoms:
```
Cd2InHg5
1.0
-3.887 3.887 3.410
3.887 -3.887 3.410
3.887 3.887 -3.410
Cd In Hg
2 1 5
Cartesian
3.887 0.000 0.000 Cd
0.000 3.887 0.000 Cd
0.000 0.000 0.000 In
1.944 1.944 -1.705 Hg
1.944 -1.944 1.705 Hg
-1.944 1.944 1.705 Hg
0.000 0.000 3.410 Hg
1.944 1.944 1.705 Hg
```

Main lines, low angle first (2θ from 10° to 80°):
- 32.6 deg, I = 60
- 35.0 deg, I = 100
- 46.7 deg, I = 22
- 53.8 deg, I = 7
- 59.7 deg, I = 43
- 64.3 deg, I = 17
- 68.2 deg, I = 7
- 74.0 deg, I = 12
- 77.7 deg, I = 10
- 79.1 deg, I = 10



Cu4Tc5: theoretical PXRD pattern (Cu Kα), based on a crystal structure in Alexandria, relaxed with GGA-PBE.

Cell and atoms:
```
Cu4Tc5
1.0
7.420 0.000 0.000
-3.710 6.426 0.000
0.000 0.000 5.104
Cu Tc
8 10
Cartesian
0.000 0.000 0.000 Cu
0.000 0.000 2.552 Cu
-1.367 2.368 1.276 Cu
-2.343 4.058 3.828 Cu
2.734 0.000 1.276 Cu
1.367 2.368 3.828 Cu
4.686 0.000 3.828 Cu
2.343 4.058 1.276 Cu
-1.116 1.932 3.828 Tc
-2.594 4.494 1.276 Tc
2.231 0.000 3.828 Tc
1.116 1.932 1.276 Tc
0.000 4.284 0.000 Tc
0.000 4.284 2.552 Tc
3.710 2.142 0.000 Tc
3.710 2.142 2.552 Tc
5.189 0.000 1.276 Tc
2.594 4.494 3.828 Tc
```

Main lines, low angle first (2θ from 10° to 80°):
- 29.8 deg, I = 7
- 35.2 deg, I = 6
- 41.2 deg, I = 20
- 42.2 deg, I = 100
- 43.0 deg, I = 98
- 54.5 deg, I = 7
- 61.8 deg, I = 28
- 74.3 deg, I = 7
- 77.1 deg, I = 11
- 77.7 deg, I = 24